Record 1
Structure and simulated XRD peak list of Nd2HoAu3 (a crystal structure in Alexandria, relaxed with GGA-PBE; copper Kα).

Crystal structure
```
Nd2HoAu3
1.0
5.181 0.000 0.000
0.000 15.724 0.000
0.000 0.000 3.653
Nd Ho Au
4 2 6
Direct
0.250 0.082 0.001 Nd
0.250 0.418 0.001 Nd
0.750 0.582 0.999 Nd
0.750 0.918 0.999 Nd
0.250 0.750 0.999 Ho
0.750 0.250 0.001 Ho
0.250 0.250 0.500 Au
0.250 0.594 0.499 Au
0.250 0.906 0.499 Au
0.750 0.094 0.501 Au
0.750 0.406 0.501 Au
0.750 0.750 0.500 Au
```

Main lines, most intense first (10 to 80 degrees two-theta):
2θ (°), Rel. int.
34.6, 1000
62.0, 221
34.2, 195
49.5, 139
61.5, 134
72.9, 89
62.2, 75
49.9, 72
73.1, 24
72.1, 19

---

Record 2
Structure and simulated XRD peak list of SmTc2N4 (a crystal structure in Alexandria, relaxed with GGA-PBE; copper Kα).

Crystal structure
```
SmTc2N4
1.0
1.622 -4.913 0.000
1.622 4.913 0.000
0.000 0.000 10.016
Sm Tc N
2 4 8
Direct
0.127 0.873 0.750 Sm
0.873 0.127 0.250 Sm
0.386 0.614 0.563 Tc
0.386 0.614 0.937 Tc
0.614 0.386 0.063 Tc
0.614 0.386 0.437 Tc
0.000 0.000 0.000 N
0.000 0.000 0.500 N
0.259 0.741 0.104 N
0.259 0.741 0.396 N
0.431 0.569 0.750 N
0.569 0.431 0.250 N
0.741 0.259 0.604 N
0.741 0.259 0.896 N
```

Main lines, most intense first (10 to 80 degrees two-theta):
2θ (°), Rel. int.
32.4, 1000
34.2, 574
30.3, 497
40.1, 410
43.2, 360
36.6, 326
54.6, 256
66.9, 246
61.3, 210
57.9, 192

---

Record 3
Structure and simulated XRD peak list of TaTl2Cr2Se6 (a crystal structure in Alexandria, relaxed with GGA-PBE; copper Kα).

Crystal structure
```
TaTl2Cr2Se6
1.0
3.167 -5.486 0.000
3.167 5.486 0.000
-2.048 0.000 8.065
Ta Tl Cr Se
1 2 2 6
Direct
0.000 0.000 0.000 Ta
0.163 0.837 0.500 Tl
0.837 0.163 0.500 Tl
0.332 0.668 0.000 Cr
0.668 0.332 0.000 Cr
0.060 0.399 0.184 Se
0.282 0.282 0.818 Se
0.399 0.060 0.184 Se
0.601 0.940 0.816 Se
0.718 0.718 0.182 Se
0.940 0.601 0.816 Se
```

Main lines, most intense first (10 to 80 degrees two-theta):
2θ (°), Rel. int.
31.8, 1000
32.0, 502
49.9, 481
16.5, 409
41.4, 334
19.6, 252
24.6, 179
41.1, 164
60.5, 158
61.2, 138

---

Record 4
Structure and simulated XRD peak list of NaLi2TlI4 (a crystal structure in Alexandria, relaxed with GGA-PBE; copper Kα).

Crystal structure
```
NaLi2TlI4
1.0
-3.470 3.470 7.040
3.470 -3.470 7.040
3.470 3.470 -7.040
Na Li Tl I
1 2 1 4
Direct
0.000 0.000 0.000 Na
0.250 0.750 0.500 Li
0.750 0.250 0.500 Li
0.500 0.500 0.000 Tl
0.080 0.080 0.459 I
0.379 0.920 0.000 I
0.621 0.621 0.541 I
0.920 0.379 0.000 I
```

Main lines, most intense first (10 to 80 degrees two-theta):
2θ (°), Rel. int.
22.1, 1000
36.4, 395
43.2, 308
28.7, 247
36.6, 243
29.5, 193
31.3, 189
22.9, 182
14.2, 173
18.1, 139

---

Copy entry 1 word for word.
Structure and simulated XRD peak list of Nd2HoAu3 (a crystal structure in Alexandria, relaxed with GGA-PBE; copper Kα).

Crystal structure
```
Nd2HoAu3
1.0
5.181 0.000 0.000
0.000 15.724 0.000
0.000 0.000 3.653
Nd Ho Au
4 2 6
Direct
0.250 0.082 0.001 Nd
0.250 0.418 0.001 Nd
0.750 0.582 0.999 Nd
0.750 0.918 0.999 Nd
0.250 0.750 0.999 Ho
0.750 0.250 0.001 Ho
0.250 0.250 0.500 Au
0.250 0.594 0.499 Au
0.250 0.906 0.499 Au
0.750 0.094 0.501 Au
0.750 0.406 0.501 Au
0.750 0.750 0.500 Au
```

Main lines, most intense first (10 to 80 degrees two-theta):
2θ (°), Rel. int.
34.6, 1000
62.0, 221
34.2, 195
49.5, 139
61.5, 134
72.9, 89
62.2, 75
49.9, 72
73.1, 24
72.1, 19